Structure and calculated PXRD pattern of Li5Mn3CuP4O16 (a DFT-relaxed cell (PBE+U, Alexandria); CuKα).
Peak positions follow from Bragg's law for the DFT cell and can differ from measured ones.

Main lines, sorted by position (2θ = 10–90°):
index  2θ (°)  I (rel.)
0 0 2  16.66  341
1 0 -1  20.16  658
1 0 -2  25.03  490
0 2 0  28.62  1000
1 1 3  33.41  303
1 -1 3  34.47  310
-1 2 1  34.90  340
2 0 1  37.39  382

Crystal structure
Cell lengths 4.9043, 6.2481, 10.6617 Å; angles 87.23, 88.34, 89.94 degrees
Space group P1 (No. 1)
Symmetry-distinct sites (fractional):
Li 0.0000 0.0000 0.0000 [1 per cell]
Li 0.0183 0.4671 0.9726 [1 per cell]
Li 0.3663 0.5031 0.3921 [1 per cell]
Li 0.4364 0.0016 0.4935 [1 per cell]
Li 0.6271 0.4196 0.6574 [1 per cell]
Mn 0.4499 0.2200 0.2054 [1 per cell]
Mn 0.5276 0.7657 0.8019 [1 per cell]
Mn 0.9231 0.7508 0.2844 [1 per cell]
Cu 0.1360 0.2022 0.6820 [1 per cell]
P 0.0883 0.7104 0.6037 [1 per cell]
P 0.3864 0.7361 0.1082 [1 per cell]
P 0.5861 0.2430 0.9188 [1 per cell]
P 0.8625 0.2332 0.4079 [1 per cell]
O 0.1738 0.7391 0.4611 [1 per cell]
O 0.1775 0.2270 0.3938 [1 per cell]
O 0.2276 0.5051 0.6621 [1 per cell]
O 0.2284 0.9005 0.6706 [1 per cell]
O 0.2393 0.9339 0.1675 [1 per cell]
O 0.2731 0.7213 0.9741 [1 per cell]
O 0.2745 0.2323 0.9349 [1 per cell]
O 0.2761 0.5417 0.1941 [1 per cell]
O 0.6885 0.4475 0.8409 [1 per cell]
O 0.6978 0.7559 0.1098 [1 per cell]
O 0.7111 0.0439 0.8558 [1 per cell]
O 0.7248 0.2526 0.0496 [1 per cell]
O 0.7269 0.0438 0.3385 [1 per cell]
O 0.7437 0.4426 0.3435 [1 per cell]
O 0.7556 0.2106 0.5452 [1 per cell]
O 0.7778 0.7098 0.6233 [1 per cell]